Diffraction record for UTa2S8. The powder diffractogram is theoretical, not measured: it uses a GGA-PBE-relaxed structure and CuKα.
Lines closer than 0.1° are merged.

Largest 10 diffraction maxima, by intensity, 10° ≤ 2θ ≤ 80°:
hkl  2theta  intensity
0 1 1  18.04  100
1 1 0  23.94  43
1 2 1  38.85  29
1 0 2  27.21  21
0 2 2  36.55  20
2 1 2  44.17  13
2 2 0  49.01  13
3 1 1  52.64  12
1 1 3  43.16  12
2 0 1  30.14  11

Crystal structure
Lattice parameters (Å, degrees): 7.4347 7.4347 7.6140 90.00 90.00 120.00
Space group P-3m1 (No. 164)
Symmetry-distinct sites (fractional):
U  0.0000  0.0000  0.0000 x1
Ta  0.3333  0.6667  0.2827 x2
S  0.1607  0.3213  0.1955 x6
S  0.3333  0.6667  0.5680 x2